[1]
For Sr3Y2N4, a crystal structure in the Materials Project, relaxed with PBE gives the simulated powder X-ray diffraction pattern in this record (CuKα).
Peak positions follow from Bragg's law for the DFT cell and can differ from measured ones.

a b c (Å): 6.358 12.495 10.233
angles (deg): 90.00 90.00 90.00
Space group Pnna (No. 52)
One atom of each set of equivalent atoms:
Sr1 0.183 0.173 0.104 x8
Sr2 0.250 0.000 0.438 x4
Y1 0.232 0.250 0.750 x4
Y2 0.250 0.000 0.790 x4
N1 0.044 0.615 0.833 x8
N2 0.061 0.136 0.881 x8

Peak list (10 most intense, 10° ≤ 2θ ≤ 90°, by angle)
(hkl)	2theta	d (Å)	I (rel.)
0 3 1	23.1	3.858	57
2 0 0	28.1	3.179	47
2 1 0	29.0	3.081	15
1 0 3	29.7	3.006	100
1 3 2	31.1	2.880	81
1 4 1	33.1	2.704	30
2 3 1	36.6	2.454	20
2 4 0	40.5	2.228	21
1 4 3	41.7	2.166	20
0 3 5	49.6	1.837	17

[2]
For Sr3Y2N4, a crystal structure in the Materials Project, relaxed with PBE gives the simulated powder X-ray diffraction pattern in this record (CuKα).
Peak positions follow from Bragg's law for the DFT cell and can differ from measured ones.

a b c (Å): 11.051 10.571 6.648
angles (deg): 90.00 91.37 90.00
Space group C2/c (No. 15)
One atom of each set of equivalent atoms:
Sr1 0.000 0.083 0.250 x4
Sr2 0.112 0.300 0.585 x8
Y1 0.246 0.106 0.911 x8
N1 0.105 0.251 0.995 x8
N2 0.200 0.078 0.573 x8

Peak list (10 most intense, 10° ≤ 2θ ≤ 90°, by angle)
(hkl)	2theta	d (Å)	I (rel.)
2 2 1	27.1	3.288	100
3 1 -1	28.7	3.110	94
1 1 -2	29.1	3.066	61
1 3 1	29.9	2.988	82
2 0 2	31.8	2.817	56
4 2 0	36.7	2.448	38
1 3 -2	37.9	2.372	36
2 4 -1	40.0	2.251	34
5 1 1	44.3	2.043	33
6 0 -2	56.6	1.626	33

[3]
For SrZn2N2, a crystal structure in the Materials Project, relaxed with PBE gives the simulated powder X-ray diffraction pattern in this record (CuKα).
Peak positions follow from Bragg's law for the DFT cell and can differ from measured ones.

a b c (Å): 3.5732 3.5732 6.2788
angles (deg): 90.00 90.00 120.00
Space group P-3m1 (No. 164)
One atom of each set of equivalent atoms:
Sr1 0.0000 0.0000 0.0000 x1
Zn1 0.3333 0.6667 0.3709 x2
N1 0.3333 0.6667 0.7253 x2

Peak list (10 most intense, 10° ≤ 2θ ≤ 90°, by angle)
(hkl)	2theta	d (Å)	I (rel.)
0 1 1	32.3	2.776	100
1 0 2	41.0	2.204	53
0 0 3	43.2	2.093	13
1 1 0	51.1	1.787	36
2 0 1	61.7	1.502	15
0 1 4	66.8	1.400	11
0 2 2	67.5	1.388	11
1 1 3	69.1	1.359	18
1 2 1	84.2	1.150	12
2 1 2	89.4	1.096	11

[4]
For SrZn2N2, a crystal structure in the Materials Project, relaxed with PBE gives the simulated powder X-ray diffraction pattern in this record (CuKα).
Peak positions follow from Bragg's law for the DFT cell and can differ from measured ones.

a b c (Å): 6.626 6.626 7.498
angles (deg): 90.00 90.00 90.00
Space group I4/mcm (No. 140)
One atom of each set of equivalent atoms:
Sr1 0.000 0.000 0.250 x4
Zn1 0.133 0.367 0.000 x8
N1 0.165 0.335 0.500 x8

Peak list (10 most intense, 10° ≤ 2θ ≤ 90°, by angle)
(hkl)	2theta	d (Å)	I (rel.)
0 0 2	23.7	3.749	13
1 1 2	30.5	2.927	100
2 1 1	32.5	2.756	48
2 0 2	36.2	2.482	33
3 1 0	43.2	2.095	47
2 1 3	47.6	1.910	17
0 0 4	48.6	1.875	17
4 0 2	61.2	1.515	29
3 3 2	64.7	1.442	18
3 1 4	67.0	1.397	24

[5]
For SrZn2N2, a crystal structure in the Materials Project, relaxed with PBE gives the simulated powder X-ray diffraction pattern in this record (CuKα).
Peak positions follow from Bragg's law for the DFT cell and can differ from measured ones.

a b c (Å): 6.401 10.406 6.324
angles (deg): 90.00 90.02 90.00
Space group C2/m (No. 12)
One atom of each set of equivalent atoms:
Sr1 0.000 0.000 0.000 x2
Sr2 0.000 0.175 0.500 x4
Zn1 0.131 0.500 0.351 x4
Zn2 0.143 0.338 0.862 x8
N1 0.195 0.333 0.197 x8
N2 0.239 0.500 0.678 x4

Peak list (10 most intense, 10° ≤ 2θ ≤ 90°, by angle)
(hkl)	2theta	d (Å)	I (rel.)
1 3 1	32.6	2.747	100
1 1 -2	32.7	2.736	35
2 2 -1	35.9	2.504	31
2 0 2	40.1	2.249	32
3 1 0	43.3	2.090	19
0 2 3	46.5	1.954	19
2 4 -1	47.3	1.923	13
0 6 0	52.8	1.734	18
3 3 3	68.1	1.376	19
2 6 2	68.3	1.373	12

[6]
For Sr3Zr2N4, a crystal structure in the Materials Project, relaxed with PBE gives the simulated powder X-ray diffraction pattern in this record (CuKα).
Peak positions follow from Bragg's law for the DFT cell and can differ from measured ones.

a b c (Å): 7.343 10.380 10.238
angles (deg): 90.00 90.00 90.00
Space group Pnna (No. 52)
One atom of each set of equivalent atoms:
Sr1 0.002 0.174 0.060 x8
Sr2 0.250 0.000 0.340 x4
Zr1 0.054 0.250 0.750 x4
Zr2 0.250 0.000 0.698 x4
N1 0.024 0.046 0.815 x8
N2 0.220 0.178 0.599 x8

Peak list (10 most intense, 10° ≤ 2θ ≤ 90°, by angle)
(hkl)	2theta	d (Å)	I (rel.)
1 0 1	14.8	5.967	19
0 3 1	27.2	3.278	100
0 1 3	27.5	3.242	29
2 2 0	29.8	2.997	82
1 1 3	30.1	2.966	77
2 1 3	37.0	2.430	23
0 4 2	38.9	2.314	24
2 3 3	44.7	2.026	30
3 1 3	46.5	1.953	18
2 6 2	62.0	1.497	21